[1]
Simulated powder diffractogram
Compound: LaTb3Pm4
Radiation: CuKα
Structure: a crystal structure in Alexandria, relaxed with GGA-PBE
No peak broadening, texture or thermal motion is included.

Structural model:
Unit cell a=10.251 b=7.268 c=7.257 alpha=90.00 beta=90.00 gamma=90.00
Space group Pmna (No. 53)
Inequivalent atoms, fractional coordinates:
La 0.000 0.000 0.000 (multiplicity 2)
Tb 0.000 0.500 0.500 (multiplicity 2)
Tb 0.250 0.253 0.250 (multiplicity 4)
Pm 0.000 0.000 0.500 (multiplicity 2)
Pm 0.000 0.500 0.000 (multiplicity 2)
Pm 0.250 0.253 0.750 (multiplicity 4)

Peak list (6 most intense, 2θ from 15° to 90°, low angle first)
- (2 2 0), 30.2°, d = 2.963 Å, I = 100
- (4 0 0), 35.0°, d = 2.566 Å, I = 51
- (4 2 2), 50.3°, d = 1.814 Å, I = 36
- (2 4 2), 59.7°, d = 1.548 Å, I = 29
- (6 2 0), 59.8°, d = 1.546 Å, I = 14
- (6 2 4), 81.8°, d = 1.177 Å, I = 15

[2]
Simulated powder diffractogram
Compound: Sr2In4Ni
Radiation: CuKα
Structure: a crystal structure in Alexandria, relaxed with GGA-PBE
No peak broadening, texture or thermal motion is included.

Structural model:
Unit cell a=4.946 b=4.946 c=17.533 alpha=90.00 beta=90.00 gamma=90.00
Space group I4/mmm (No. 139)
Inequivalent atoms, fractional coordinates:
Sr 0.000 0.000 0.160 (multiplicity 4)
In 0.000 0.000 0.353 (multiplicity 4)
In 0.000 0.500 0.000 (multiplicity 4)
Ni 0.000 0.000 0.500 (multiplicity 2)

Peak list (6 most intense, 2θ from 15° to 90°, low angle first)
- (1 1 2), 27.5°, d = 3.248 Å, I = 65
- (0 0 6), 30.6°, d = 2.922 Å, I = 54
- (1 1 4), 32.8°, d = 2.734 Å, I = 100
- (2 0 0), 36.3°, d = 2.473 Å, I = 82
- (2 0 6), 48.2°, d = 1.888 Å, I = 59
- (3 1 4), 63.1°, d = 1.473 Å, I = 29

[3]
Simulated powder diffractogram
Compound: Cs2In2Sb2As
Radiation: CuKα
Structure: a crystal structure in Alexandria, relaxed with GGA-PBE
No peak broadening, texture or thermal motion is included.

Structural model:
Unit cell a=4.429 b=7.468 c=9.498 alpha=102.26 beta=103.44 gamma=90.24
Space group P-1 (No. 2)
Inequivalent atoms, fractional coordinates:
Cs 0.125 0.320 0.246 (multiplicity 2)
In 0.398 0.194 0.795 (multiplicity 2)
Sb 0.221 0.863 0.444 (multiplicity 2)
As 0.500 0.000 0.000 (multiplicity 1)

Peak list (6 most intense, 2θ from 15° to 90°, low angle first)
- (1 1 0), 24.6°, d = 3.622 Å, I = 43
- (1 1 -2), 26.4°, d = 3.381 Å, I = 88
- (-1 1 2), 29.3°, d = 3.050 Å, I = 100
- (1 1 2), 36.3°, d = 2.473 Å, I = 39
- (1 1 -4), 40.0°, d = 2.252 Å, I = 59
- (2 0 -1), 40.7°, d = 2.215 Å, I = 38

[4]
Simulated powder diffractogram
Compound: NaHgSeO4
Radiation: CuKα
Structure: a crystal structure in Alexandria, relaxed with GGA-PBE
No peak broadening, texture or thermal motion is included.

Structural model:
Unit cell a=5.913 b=7.266 c=10.111 alpha=90.00 beta=90.00 gamma=90.00
Space group Imma (No. 74)
Inequivalent atoms, fractional coordinates:
Na 0.000 0.000 0.000 (multiplicity 4)
Hg 0.250 0.250 0.250 (multiplicity 4)
Se 0.000 0.250 0.607 (multiplicity 4)
O 0.000 0.059 0.701 (multiplicity 8)
O 0.234 0.250 0.510 (multiplicity 8)

Peak list (6 most intense, 2θ from 15° to 90°, low angle first)
- (0 1 1), 15.0°, d = 5.900 Å, I = 89
- (0 0 2), 17.5°, d = 5.055 Å, I = 40
- (0 2 0), 24.5°, d = 3.633 Å, I = 59
- (0 1 3), 29.2°, d = 3.057 Å, I = 80
- (2 1 1), 33.9°, d = 2.643 Å, I = 100
- (2 2 4), 54.0°, d = 1.698 Å, I = 43